Structure and theoretical XRD peak list of BaEuMgFe2O5 (DFT lattice parameters and positions (PBE+U); λ = 1.5418 Å (Cu Kα)).
Peak positions follow from Bragg's law for the DFT cell and can differ from measured ones.

```
BaEuMgFe2O5
1.0
4.0386 0.0000 0.0000
0.0000 4.0386 0.0000
0.0000 0.0000 9.9037
Ba Eu Mg Fe O
1 1 1 2 5
Cartesian
0.0000 0.0000 0.0000
0.0000 0.0000 6.3957
0.0000 0.0000 3.2446
2.0193 2.0193 2.3915
2.0193 2.0193 8.0545
0.0000 2.0193 3.1351
0.0000 2.0193 7.7045
2.0193 0.0000 3.1351
2.0193 0.0000 7.7045
2.0193 2.0193 0.3325
```

Principal peaks in the range 15° ≤ 2θ ≤ 90°, low angle first:
22.01°, 4.039 Å, intensity 39; 23.79°, 3.740 Å, intensity 25; 27.01°, 3.301 Å, intensity 30; 28.52°, 3.130 Å, intensity 71; 31.32°, 2.856 Å, intensity 79; 35.11°, 2.556 Å, intensity 100; 41.83°, 2.160 Å, intensity 33; 44.89°, 2.019 Å, intensity 51; 58.23°, 1.584 Å, intensity 46; 65.33°, 1.428 Å, intensity 24


Structure and theoretical XRD peak list of BaNaEuFeO6 (DFT lattice parameters and positions (PBE+U); λ = 1.5418 Å (Cu Kα)).
Peak positions follow from Bragg's law for the DFT cell and can differ from measured ones.

```
BaNaEuFeO6
1.0
0.0000 4.1666 4.1666
4.1666 0.0000 4.1666
4.1666 4.1666 0.0000
Ba Na Eu Fe O
1 1 1 1 6
Cartesian
0.0000 0.0000 0.0000
4.1666 4.1666 4.1666
6.2499 6.2499 6.2499
2.0833 2.0833 2.0833
2.0833 2.0833 0.1631
2.0833 0.1631 2.0833
4.0035 2.0833 2.0833
0.1631 2.0833 2.0833
2.0833 4.0035 2.0833
2.0833 2.0833 4.0035
```

Principal peaks in the range 15° ≤ 2θ ≤ 90°, low angle first:
18.44°, 4.811 Å, intensity 34; 21.32°, 4.167 Å, intensity 9; 30.34°, 2.946 Å, intensity 100; 35.74°, 2.513 Å, intensity 24; 43.44°, 2.083 Å, intensity 34; 47.56°, 1.912 Å, intensity 12; 53.90°, 1.701 Å, intensity 39; 63.11°, 1.473 Å, intensity 20; 71.62°, 1.318 Å, intensity 18; 87.62°, 1.114 Å, intensity 21


Structure and theoretical XRD peak list of BaEuFe2O5 (DFT lattice parameters and positions (PBE+U); λ = 1.5418 Å (Cu Kα)).
Peak positions follow from Bragg's law for the DFT cell and can differ from measured ones.

```
BaEuFe2O5
1.0
3.9861 0.0000 0.0000
0.0000 3.9861 0.0000
0.0000 0.0000 7.7399
Ba Eu Fe O
1 1 2 5
Cartesian
0.0000 0.0000 0.0000
0.0000 0.0000 3.8700
1.9930 1.9930 1.9898
1.9930 1.9930 5.7501
0.0000 1.9930 2.3165
0.0000 1.9930 5.4234
1.9930 0.0000 2.3165
1.9930 0.0000 5.4234
1.9930 1.9930 0.0000
```

Principal peaks in the range 15° ≤ 2θ ≤ 90°, low angle first:
22.30°, 3.986 Å, intensity 18; 31.75°, 2.819 Å, intensity 43; 32.24°, 2.777 Å, intensity 100; 39.56°, 2.278 Å, intensity 21; 45.51°, 1.993 Å, intensity 29; 46.96°, 1.935 Å, intensity 11; 56.87°, 1.619 Å, intensity 39; 57.80°, 1.595 Å, intensity 19; 66.33°, 1.409 Å, intensity 9; 67.46°, 1.388 Å, intensity 14


Structure and theoretical XRD peak list of Ba3Eu3Fe6O16 (DFT lattice parameters and positions (PBE+U); λ = 1.5418 Å (Cu Kα)).
Peak positions follow from Bragg's law for the DFT cell and can differ from measured ones.

```
Ba3Eu3Fe6O16
1.0
8.3779 -2.8409 0.0000
8.3779 2.8409 0.0000
-5.5034 0.0000 8.0139
Ba Eu Fe O
3 3 6 16
Cartesian
0.0000 0.0000 0.0000
1.9397 0.0000 5.3045
9.3128 0.0000 2.7094
-1.8335 0.0000 6.5571
5.6262 0.0000 4.0070
13.0860 0.0000 1.4568
-0.9897 0.0000 3.3673
2.7421 0.0000 1.9892
6.5320 0.0000 0.6273
4.7204 0.0000 7.3866
8.5104 0.0000 6.0248
12.2422 0.0000 4.6466
-2.7517 0.0000 4.0070
0.1448 1.4228 7.4874
3.5236 1.3670 3.1846
0.9004 0.0000 2.6456
6.7049 1.3680 2.0370
4.5476 1.3680 5.9769
7.7289 1.3670 4.8293
11.1077 1.4228 0.5265
8.3779 0.0000 0.0000
0.1448 -1.4228 7.4874
3.5236 -1.3670 3.1846
6.7049 -1.3680 2.0370
4.5476 -1.3680 5.9769
10.3521 0.0000 5.3683
7.7289 -1.3670 4.8293
11.1077 -1.4228 0.5265
```

Principal peaks in the range 15° ≤ 2θ ≤ 90°, low angle first:
22.14°, 4.016 Å, intensity 16; 31.51°, 2.839 Å, intensity 45; 31.81°, 2.813 Å, intensity 100; 39.09°, 2.304 Å, intensity 23; 45.16°, 2.008 Å, intensity 30; 46.04°, 1.971 Å, intensity 12; 56.28°, 1.635 Å, intensity 29; 56.34°, 1.633 Å, intensity 9; 56.86°, 1.619 Å, intensity 19; 66.46°, 1.407 Å, intensity 15


Structure and theoretical XRD peak list of Ba5Eu5Fe10O26 (DFT lattice parameters and positions (PBE+U); λ = 1.5418 Å (Cu Kα)).
Peak positions follow from Bragg's law for the DFT cell and can differ from measured ones.

```
Ba5Eu5Fe10O26
1.0
8.7981 0.0000 0.0000
3.6481 8.1757 0.0000
1.8354 -0.8034 8.7301
Ba Eu Fe O
5 5 10 26
Cartesian
0.0000 0.0000 0.0000
1.8275 3.1190 1.7269
12.4541 4.2534 7.0031
3.6682 6.2046 3.4709
10.6134 1.1677 5.2592
5.3168 -0.4017 4.3650
5.3473 1.6543 0.8327
7.1794 2.7383 6.2133
7.1021 4.6340 2.5168
8.9343 5.7180 7.8974
4.4568 0.9343 7.4216
2.6714 -0.1734 2.1902
4.4901 2.9009 3.9556
6.3068 6.0221 5.6436
4.5499 4.8369 0.4181
9.7317 2.5354 8.3120
7.9748 1.3503 3.0865
9.7915 4.4715 4.7745
11.6102 7.5457 6.5399
9.8248 6.4381 1.3085
9.7235 0.5821 2.6531
2.7417 3.6862 4.3650
4.5581 6.7903 6.0770
2.7647 5.6558 0.8818
5.5910 2.3399 8.1953
6.5480 4.9812 7.2881
5.6658 6.3828 1.2957
4.7151 3.7394 2.1976
7.5767 7.4243 6.4513
3.9253 1.1890 2.9750
4.8378 1.7658 5.5805
3.0165 0.6173 0.3462
5.7571 4.3024 4.7094
6.6730 6.8414 3.8444
6.2231 4.0879 0.0000
7.6086 0.5309 4.8857
8.5245 3.0699 4.0207
11.2651 6.7551 8.3839
9.4438 5.6066 3.1496
10.3563 6.1833 5.7551
6.7049 -0.0520 2.2788
9.5664 3.6329 6.5325
8.6158 0.9896 7.4344
7.7336 2.3911 1.4420
8.6906 5.0324 0.5348
11.5169 1.7165 7.8482
```

Principal peaks in the range 15° ≤ 2θ ≤ 90°, low angle first:
22.20°, 4.005 Å, intensity 17; 31.60°, 2.832 Å, intensity 44; 31.97°, 2.800 Å, intensity 100; 39.26°, 2.295 Å, intensity 22; 45.29°, 2.002 Å, intensity 29; 46.38°, 1.958 Å, intensity 12; 56.50°, 1.629 Å, intensity 33; 57.22°, 1.610 Å, intensity 14; 65.98°, 1.416 Å, intensity 9; 66.83°, 1.400 Å, intensity 15


Structure and theoretical XRD peak list of BaEuFe2O5 (DFT lattice parameters and positions (PBE+U); λ = 1.5418 Å (Cu Kα)).
Peak positions follow from Bragg's law for the DFT cell and can differ from measured ones.

```
BaEuFe2O5
1.0
3.9731 0.0000 0.0000
0.0227 3.9922 0.0000
0.0232 0.0188 7.7438
Ba Eu Fe O
1 1 2 5
Cartesian
0.0000 0.0000 0.0000
4.0033 3.9963 3.9820
2.0134 2.0069 5.8005
2.0040 1.9997 2.0196
0.0305 2.0066 5.5214
1.9904 1.9898 0.1369
2.0005 0.0141 5.5181
2.0131 3.9920 2.4443
3.9858 1.9978 2.4456
```

Principal peaks in the range 15° ≤ 2θ ≤ 90°, low angle first:
31.68°, 2.824 Å, intensity 29; 31.87°, 2.808 Å, intensity 29; 32.22°, 2.779 Å, intensity 100; 32.33°, 2.769 Å, intensity 33; 39.62°, 2.275 Å, intensity 21; 45.44°, 1.996 Å, intensity 20; 45.67°, 1.987 Å, intensity 19; 46.93°, 1.936 Å, intensity 14; 56.95°, 1.617 Å, intensity 19; 57.85°, 1.594 Å, intensity 19


Structure and theoretical XRD peak list of BaEuFe4O12 (DFT lattice parameters and positions (PBE+U); λ = 1.5418 Å (Cu Kα)).
Peak positions follow from Bragg's law for the DFT cell and can differ from measured ones.

```
BaEuFe4O12
1.0
5.4581 0.0000 0.0000
0.0000 5.4581 0.0000
0.0000 0.0000 7.7060
Ba Eu Fe O
1 1 4 12
Cartesian
0.0000 0.0000 0.0000
2.7290 2.7290 3.8530
0.0000 2.7290 1.9301
0.0000 2.7290 5.7759
2.7290 0.0000 1.9301
2.7290 0.0000 5.7759
0.0000 2.7290 0.0000
0.0000 2.7290 3.8530
1.4112 1.4112 2.0182
1.4112 1.4112 5.6878
1.4112 4.0469 2.0182
1.4112 4.0469 5.6878
2.7290 0.0000 0.0000
2.7290 0.0000 3.8530
4.0469 1.4112 2.0182
4.0469 1.4112 5.6878
4.0469 4.0469 2.0182
4.0469 4.0469 5.6878
```

Principal peaks in the range 15° ≤ 2θ ≤ 90°, low angle first:
19.93°, 4.454 Å, intensity 90; 32.84°, 2.728 Å, intensity 100; 38.71°, 2.326 Å, intensity 50; 47.12°, 1.929 Å, intensity 42; 51.65°, 1.770 Å, intensity 22; 58.62°, 1.575 Å, intensity 38; 62.54°, 1.485 Å, intensity 12; 68.84°, 1.364 Å, intensity 24; 72.48°, 1.304 Å, intensity 16; 78.35°, 1.220 Å, intensity 11


Structure and theoretical XRD peak list of BaPrEuFeO6 (DFT lattice parameters and positions (PBE+U); λ = 1.5418 Å (Cu Kα)).
Peak positions follow from Bragg's law for the DFT cell and can differ from measured ones.

```
BaPrEuFeO6
1.0
0.0000 4.1588 4.1588
4.1588 0.0000 4.1588
4.1588 4.1588 0.0000
Ba Pr Eu Fe O
1 1 1 1 6
Cartesian
0.0000 0.0000 0.0000
4.1588 4.1588 4.1588
2.0794 2.0794 2.0794
6.2382 6.2382 6.2382
6.2382 6.2382 4.2833
6.2382 4.2833 6.2382
8.1931 6.2382 6.2382
4.2833 6.2382 6.2382
6.2382 8.1931 6.2382
6.2382 6.2382 8.1931
```

Principal peaks in the range 15° ≤ 2θ ≤ 90°, low angle first:
18.48°, 4.802 Å, intensity 7; 30.40°, 2.941 Å, intensity 100; 35.81°, 2.508 Å, intensity 6; 37.46°, 2.401 Å, intensity 5; 43.52°, 2.079 Å, intensity 30; 54.01°, 1.698 Å, intensity 40; 63.24°, 1.470 Å, intensity 18; 71.77°, 1.315 Å, intensity 18; 79.90°, 1.201 Å, intensity 6; 87.83°, 1.111 Å, intensity 21